1.
This entry pairs a crystal structure of Ac3V2Ge9 with its computed powder diffraction line list. Radiation: λ = 1.5418 Å (Cu Kα). Structure: a GGA-PBE-relaxed structure.

Structure:
abc: 6.5472 6.5472 8.2572
angles: 90.00 90.00 120.00
Space group P-3m1 (No. 164)
Unique sites:
1 Ac 0.0000 0.0000 0.0000 (multiplicity 1)
2 Ac 0.3333 0.6667 0.3376 (multiplicity 2)
3 V 0.3333 0.6667 0.8168 (multiplicity 2)
4 Ge 0.0000 0.5000 0.0000 (multiplicity 3)
5 Ge 0.1410 0.2819 0.6398 (multiplicity 6)

Main lines, most intense first (10 to 90 degrees two-theta):
- 33.42 deg, I = 100.0, hkl 2 0 1
- 38.52 deg, I = 90.1, hkl 0 2 2
- 26.71 deg, I = 40.6, hkl 1 0 2
- 27.24 deg, I = 38.1, hkl 1 1 0
- 32.53 deg, I = 35.1, hkl 0 0 3
- 55.03 deg, I = 29.1, hkl 2 0 4
- 56.20 deg, I = 27.1, hkl 2 2 0
- 18.99 deg, I = 26.1, hkl 0 1 1
- 66.46 deg, I = 22.5, hkl 2 2 3
- 47.82 deg, I = 13.5, hkl 2 1 2
- 43.63 deg, I = 13.0, hkl 1 2 1
- 70.20 deg, I = 12.4, hkl 4 0 2


2.
This entry pairs a crystal structure of Y2HoNi9 with its computed powder diffraction line list. Radiation: λ = 1.5418 Å (Cu Kα). Structure: a GGA-PBE-relaxed structure.

Structure:
abc: 4.9661 4.9661 24.3749
angles: 90.00 90.00 120.00
Space group R-3m (No. 166, hexagonal axes)
Unique sites:
1 Y 0.0000 0.0000 0.1387 (multiplicity 6)
2 Ho 0.0000 0.0000 0.0000 (multiplicity 3)
3 Ni 0.0000 0.0000 0.3330 (multiplicity 6)
4 Ni 0.0000 0.0000 0.5000 (multiplicity 3)
5 Ni 0.0006 0.5003 0.9185 (multiplicity 18)

Main lines, most intense first (10 to 90 degrees two-theta):
- 42.68 deg, I = 100.0, hkl 1 1 6
- 36.15 deg, I = 63.6, hkl 1 1 0
- 42.19 deg, I = 31.9, hkl 0 2 1
- 33.10 deg, I = 31.5, hkl 1 0 7
- 44.62 deg, I = 19.7, hkl 0 0 12
- 46.12 deg, I = 19.1, hkl 2 0 5
- 69.54 deg, I = 18.8, hkl 3 0 6
- 76.77 deg, I = 17.9, hkl 2 2 0
- 65.01 deg, I = 12.2, hkl 1 2 8
- 49.82 deg, I = 11.1, hkl 1 1 9
- 69.46 deg, I = 9.8, hkl 2 0 14
- 63.12 deg, I = 8.7, hkl 2 1 7